(1)
For MnOF, a cell relaxed with GGA+U gives the simulated PXRD pattern in this record (copper Kα).
Intensities are scaled so that the largest is 100.

Main lines, sorted by position (10° ≤ 2θ ≤ 80°):
Position (°2θ)	I/Imax
26.85	92
26.99	86
34.51	100
39.71	19
52.47	29
52.60	53
52.74	24
59.14	18
66.14	22
66.87	18

Structural model:
a = 4.6732 Å, b = 6.2484 Å, c = 9.3894 Å
α = 90.00°, β = 90.30°, γ = 90.00°
Space group P2_1/c (No. 14)
Inequivalent atoms, fractional coordinates:
Mn  0.0000  0.0000  0.0000 [2 per cell]
Mn  0.0000  0.0000  0.5000 [2 per cell]
Mn  0.4720  0.2503  0.2365 [4 per cell]
O  0.1763  0.2481  0.0872 [4 per cell]
O  0.3165  0.0002  0.3404 [4 per cell]
F  0.2227  0.7483  0.6107 [4 per cell]
F  0.2902  0.9996  0.8556 [4 per cell]



(2)
For Li3Fe2B2O8, a cell relaxed with GGA+U gives the simulated PXRD pattern in this record (copper Kα).
Intensities are scaled so that the largest is 100.

Main lines, sorted by position (10° ≤ 2θ ≤ 80°):
Position (°2θ)	I/Imax
13.45	100
18.93	25
22.49	15
23.70	23
26.29	91
28.37	17
29.93	36
34.37	33
45.90	12
53.28	14

Structural model:
a = 6.6377 Å, b = 5.1967 Å, c = 10.9437 Å
α = 90.00°, β = 97.18°, γ = 90.00°
Space group Pc (No. 7)
Inequivalent atoms, fractional coordinates:
Li  0.0000  0.0885  0.0000 [2 per cell]
Li  0.6828  0.4020  0.1445 [2 per cell]
Li  0.8875  0.1027  0.7220 [2 per cell]
Fe  0.2785  0.4029  0.5866 [2 per cell]
Fe  0.2933  0.0855  0.2782 [2 per cell]
B  0.5959  0.0745  0.5024 [2 per cell]
B  0.9971  0.4179  0.3628 [2 per cell]
O  0.0490  0.1516  0.3545 [2 per cell]
O  0.0773  0.4511  0.9702 [2 per cell]
O  0.1689  0.0987  0.6432 [2 per cell]
O  0.3945  0.3658  0.2051 [2 per cell]
O  0.5041  0.0265  0.8916 [2 per cell]
O  0.5341  0.3167  0.5367 [2 per cell]
O  0.7422  0.0601  0.0722 [2 per cell]
O  0.8827  0.4595  0.7715 [2 per cell]



(3)
For Li2CoCuP2O8, a cell relaxed with GGA+U gives the simulated PXRD pattern in this record (copper Kα).
Intensities are scaled so that the largest is 100.

Main lines, sorted by position (10° ≤ 2θ ≤ 80°):
Position (°2θ)	I/Imax
17.69	59
20.45	59
20.93	32
25.17	59
25.53	44
25.58	35
29.27	100
35.57	61
35.98	29
36.43	66

Structural model:
a = 4.7520 Å, b = 6.1020 Å, c = 10.0305 Å
α = 89.78°, β = 88.32°, γ = 89.97°
Space group P1 (No. 1)
Inequivalent atoms, fractional coordinates:
Li  0.0000  0.0000  0.0000 [1 per cell]
Li  0.0000  0.4994  0.0008 [1 per cell]
Li  0.4976  0.0003  0.4974 [1 per cell]
Li  0.4984  0.4988  0.4976 [1 per cell]
Co  0.0191  0.2498  0.7172 [1 per cell]
Co  0.9701  0.7500  0.2800 [1 per cell]
Cu  0.4472  0.2500  0.2143 [1 per cell]
Cu  0.5516  0.7496  0.7831 [1 per cell]
P  0.0795  0.7488  0.5952 [1 per cell]
P  0.4278  0.7495  0.0945 [1 per cell]
P  0.5705  0.2503  0.9059 [1 per cell]
P  0.9178  0.2500  0.3997 [1 per cell]
O  0.1942  0.7487  0.4479 [1 per cell]
O  0.2094  0.5424  0.6625 [1 per cell]
O  0.2096  0.9544  0.6619 [1 per cell]
O  0.2457  0.2492  0.3937 [1 per cell]
O  0.2479  0.2485  0.9033 [1 per cell]
O  0.2826  0.5482  0.1651 [1 per cell]
O  0.2825  0.9502  0.1647 [1 per cell]
O  0.3185  0.7494  0.9485 [1 per cell]
O  0.6840  0.2526  0.0510 [1 per cell]
O  0.7123  0.4510  0.8325 [1 per cell]
O  0.7183  0.0498  0.8363 [1 per cell]
O  0.7514  0.7499  0.6039 [1 per cell]
O  0.7515  0.7499  0.0987 [1 per cell]
O  0.7900  0.0444  0.3316 [1 per cell]
O  0.7908  0.4568  0.3319 [1 per cell]
O  0.7950  0.2493  0.5455 [1 per cell]